Theoretical powder X-ray diffraction pattern of MgV4P4O20 for Cu Kα, from a cell relaxed with PBE+U.

Crystal structure
abc: 5.1781 7.4242 10.2134
angles: 70.28 78.79 69.72
Atoms (fractional coordinates):
Mg  0.0000  0.0000  0.0000
V  0.2441  0.5366  0.1949
V  0.2767  0.3220  0.9377
V  0.3186  0.0820  0.6733
V  0.8031  0.7967  0.4443
P  0.5761  0.8637  0.1551
P  0.6692  0.3809  0.6489
P  0.8883  0.2488  0.2484
P  0.9273  0.7834  0.7530
O  0.0621  0.6441  0.3725
O  0.1016  0.3119  0.2950
O  0.1027  0.8928  0.7890
O  0.2052  0.1711  0.8586
O  0.3369  0.4764  0.0420
O  0.3412  0.8045  0.1227
O  0.4338  0.9898  0.5404
O  0.4826  0.2956  0.6007
O  0.5435  0.8546  0.3105
O  0.5701  0.0769  0.0548
O  0.5978  0.3601  0.8057
O  0.6027  0.4005  0.2640
O  0.6198  0.9026  0.7825
O  0.6275  0.6032  0.5645
O  0.8744  0.7390  0.1159
O  0.8825  0.0375  0.3456
O  0.9742  0.2640  0.6168
O  0.9789  0.7857  0.5976
O  0.9800  0.2292  0.0978
O  0.9915  0.5687  0.8487

Largest 12 diffraction maxima, in order of falling intensity, 2θ = 10–90°:
| 2θ/deg | I/Imax | index |
| --- | --- | --- |
| 27.20 | 100 | 0 1 3 |
| 28.29 | 69 | 1 -1 1 |
| 26.72 | 64 | -1 1 1 |
| 27.52 | 54 | 1 2 0 |
| 27.39 | 44 | 1 2 2 |
| 18.33 | 37 | 0 1 -1 |
| 19.82 | 34 | 1 0 1 |
| 57.05 | 32 | 0 3 -3 |
| 18.53 | 31 | 0 0 2 |
| 19.11 | 28 | 1 1 0 |
| 32.06 | 27 | 1 2 -1 |
| 38.54 | 23 | 2 1 -1 |